# Ba2V2Te2O11
Simulated PXRD pattern, a wavelength of 1.5418 Å. Input: a structure optimized by DFT (PBE+U).
No peak broadening, texture or thermal motion is included.

Most intense lines, 2θ = 10–80°, sorted by position:
2θ/deg	Rel. int.	h k l
23.18	33	2 0 0
25.08	59	1 1 2
26.94	100	2 1 -1
27.54	46	1 2 1
29.05	35	1 0 -3
29.35	40	0 2 2

Crystal structure
```
Ba2V2Te2O11
1.0
7.6957 0.0000 0.0000
0.0000 7.7876 0.0000
-0.7008 0.0000 9.7528
Ba V Te O
4 4 4 22
direct
0.1339 0.2500 0.3568
0.1408 0.7500 0.0768
0.8592 0.2500 0.9232
0.8661 0.7500 0.6432
0.3157 0.7500 0.4922
0.3919 0.2500 0.0792
0.6081 0.7500 0.9208
0.6843 0.2500 0.5078
0.2845 0.0355 0.7432
0.2845 0.4645 0.7432
0.7155 0.5355 0.2568
0.7155 0.9645 0.2568
0.0774 0.5171 0.8215
0.0774 0.9829 0.8215
0.1954 0.5673 0.5552
0.1954 0.9327 0.5552
0.1972 0.2500 0.6486
0.3000 0.0740 0.1465
0.3000 0.4260 0.1465
0.3196 0.7500 0.3210
0.3402 0.2500 0.8934
0.3814 0.7500 0.8803
0.4834 0.2500 0.4291
0.5165 0.7500 0.5709
0.6186 0.2500 0.1197
0.6598 0.7500 0.1066
0.6804 0.2500 0.6790
0.7000 0.5740 0.8535
0.7000 0.9260 0.8535
0.8028 0.7500 0.3514
0.8046 0.0673 0.4448
0.8046 0.4327 0.4448
0.9226 0.0171 0.1785
0.9226 0.4829 0.1785
```